TlAgAs2PbS5: computed powder diffraction line list (CuKα), based on a DFT-relaxed cell (PBE, the Materials Project).

Cell and atoms:
a b c (Å): 8.100 8.220 9.282
angles (deg): 64.92 75.56 65.54
Sites, in units of the cell vectors:
Tl: 0.196 0.354 0.364
Tl: 0.804 0.646 0.636
Ag: 0.390 0.744 0.413
Ag: 0.610 0.256 0.587
As: 0.051 0.883 0.692
As: 0.389 0.455 0.873
As: 0.611 0.545 0.127
As: 0.949 0.117 0.308
Pb: 0.251 0.041 0.907
Pb: 0.749 0.959 0.093
S: 0.122 0.849 0.253
S: 0.132 0.678 0.951
S: 0.288 0.420 0.683
S: 0.317 0.935 0.592
S: 0.369 0.192 0.089
S: 0.631 0.808 0.911
S: 0.683 0.065 0.408
S: 0.712 0.580 0.317
S: 0.868 0.322 0.049
S: 0.878 0.151 0.747

Principal peaks in the range 10° ≤ 2θ ≤ 90°, in order of falling intensity:
- 2θ = 25.99°, rel. 100.0, (2 2 1)
- 2θ = 25.42°, rel. 99.9, (1 0 -2)
- 2θ = 30.38°, rel. 94.2, (1 2 -1)
- 2θ = 30.75°, rel. 89.8, (1 2 3)
- 2θ = 32.26°, rel. 60.4, (-2 1 1)
- 2θ = 23.82°, rel. 45.8, (0 2 1)
- 2θ = 26.40°, rel. 44.6, (2 1 2)
- 2θ = 36.79°, rel. 41.7, (0 3 2)
- 2θ = 24.24°, rel. 40.7, (2 0 0)
- 2θ = 24.65°, rel. 39.7, (1 -1 1)